1.
Structure and theoretical X-ray powder pattern of MnP4 (a crystal structure in Alexandria, relaxed with GGA-PBE; Cu Ka).

Largest 10 diffraction maxima, by angle, 2θ = 15–90°:
d 4.516, 19.66 deg, rel. 35
d 3.812, 23.34 deg, rel. 34
d 2.832, 31.59 deg, rel. 76
d 2.740, 32.68 deg, rel. 62
d 2.713, 33.01 deg, rel. 100
d 2.618, 34.26 deg, rel. 36
d 2.288, 39.38 deg, rel. 37
d 1.812, 50.36 deg, rel. 29
d 1.790, 51.01 deg, rel. 29
d 1.747, 52.38 deg, rel. 36

Crystal structure
Unit cell a=5.8419 b=5.8419 c=21.7781 alpha=94.14 beta=94.14 gamma=51.71
Element x y z (fractional)
Mn (0.0430, 0.8072, 0.5704)
Mn (0.1168, 0.5143, 0.6818)
Mn (0.1928, 0.9570, 0.9296)
Mn (0.4857, 0.8832, 0.8182)
Mn (0.5143, 0.1168, 0.1818)
Mn (0.8072, 0.0430, 0.0704)
Mn (0.8832, 0.4857, 0.3182)
Mn (0.9570, 0.1928, 0.4296)
P (0.0074, 0.0446, 0.3298)
P (0.0358, 0.4135, 0.9508)
P (0.0446, 0.0074, 0.8298)
P (0.0511, 0.2932, 0.2159)
P (0.0947, 0.7548, 0.4635)
P (0.1776, 0.3612, 0.5836)
P (0.2452, 0.9053, 0.0365)
P (0.2932, 0.0511, 0.7159)
P (0.3300, 0.3489, 0.3307)
P (0.3418, 0.5016, 0.9256)
P (0.3489, 0.3300, 0.8307)
P (0.3612, 0.1776, 0.0836)
P (0.3626, 0.5716, 0.2000)
P (0.4135, 0.0358, 0.4508)
P (0.4284, 0.6374, 0.3000)
P (0.4984, 0.6582, 0.5744)
P (0.5016, 0.3418, 0.4256)
P (0.5716, 0.3626, 0.7000)
P (0.5865, 0.9642, 0.5492)
P (0.6374, 0.4284, 0.8000)
P (0.6388, 0.8224, 0.9164)
P (0.6511, 0.6700, 0.1693)
P (0.6582, 0.4984, 0.0744)
P (0.6700, 0.6511, 0.6693)
P (0.7068, 0.9489, 0.2841)
P (0.7548, 0.0947, 0.9635)
P (0.8224, 0.6388, 0.4164)
P (0.9053, 0.2452, 0.5365)
P (0.9489, 0.7068, 0.7841)
P (0.9554, 0.9926, 0.1702)
P (0.9642, 0.5865, 0.0492)
P (0.9926, 0.9554, 0.6702)

2.
Structure and theoretical X-ray powder pattern of Mg2Ga3Pd3 (a crystal structure in Alexandria, relaxed with GGA-PBE; Cu Ka).

Largest 10 diffraction maxima, by angle, 2θ = 15–90°:
d 3.677, 24.21 deg, rel. 48
d 2.407, 37.36 deg, rel. 18
d 2.264, 39.81 deg, rel. 100
d 2.123, 42.59 deg, rel. 41
d 1.845, 49.39 deg, rel. 17
d 1.838, 49.59 deg, rel. 14
d 1.549, 59.71 deg, rel. 15
d 1.390, 67.39 deg, rel. 8
d 1.251, 76.08 deg, rel. 22
d 1.190, 80.77 deg, rel. 12

Crystal structure
Unit cell a=7.3533 b=7.3533 c=2.8737 alpha=90.00 beta=90.00 gamma=120.00
Element x y z (fractional)
Mg (0.3333, 0.6667, 0.0000)
Mg (0.6667, 0.3333, 0.0000)
Ga (0.0000, 0.2513, 0.0000)
Ga (0.2513, 0.0000, 0.0000)
Ga (0.7487, 0.7487, 0.0000)
Pd (0.0000, 0.6681, 0.5000)
Pd (0.3319, 0.3319, 0.5000)
Pd (0.6681, 0.0000, 0.5000)

3.
Structure and theoretical X-ray powder pattern of AcTbPr2Tm5 (a crystal structure in Alexandria, relaxed with GGA-PBE; Cu Ka).

Largest 10 diffraction maxima, by angle, 2θ = 15–90°:
d 3.136, 28.46 deg, rel. 39
d 3.112, 28.69 deg, rel. 51
d 2.916, 30.66 deg, rel. 100
d 2.783, 32.16 deg, rel. 16
d 2.442, 36.80 deg, rel. 11
d 2.412, 37.28 deg, rel. 14
d 2.116, 42.73 deg, rel. 19
d 1.946, 46.67 deg, rel. 12
d 1.756, 52.07 deg, rel. 23
d 1.650, 55.70 deg, rel. 14

Crystal structure
Unit cell a=9.9671 b=9.9671 c=9.9671 alpha=127.60 beta=127.60 gamma=77.28
Element x y z (fractional)
Ac (0.2500, 0.2500, 0.0000)
Ac (0.7500, 0.7500, 0.0000)
Tb (0.2500, 0.7500, 0.5000)
Tb (0.7500, 0.2500, 0.5000)
Pr (0.1172, 0.6172, 0.7344)
Pr (0.3828, 0.1172, 0.5000)
Pr (0.6172, 0.8828, 0.5000)
Pr (0.8828, 0.3828, 0.2656)
Tm (0.0000, 0.0000, 0.0000)
Tm (0.0739, 0.1575, 0.5000)
Tm (0.1575, 0.6575, 0.0836)
Tm (0.3425, 0.4261, 0.5000)
Tm (0.4261, 0.9261, 0.0836)
Tm (0.5000, 0.5000, 0.0000)
Tm (0.5739, 0.0739, 0.9164)
Tm (0.6575, 0.5739, 0.5000)
Tm (0.8425, 0.3425, 0.9164)
Tm (0.9261, 0.8425, 0.5000)

4.
Structure and theoretical X-ray powder pattern of Ca4BP4 (a crystal structure in Alexandria, relaxed with GGA-PBE; Cu Ka).

Largest 10 diffraction maxima, by angle, 2θ = 15–90°:
d 2.947, 30.33 deg, rel. 30
d 2.861, 31.26 deg, rel. 100
d 2.769, 32.33 deg, rel. 24
d 2.348, 38.34 deg, rel. 14
d 2.285, 39.43 deg, rel. 28
d 2.053, 44.11 deg, rel. 41
d 2.023, 44.79 deg, rel. 35
d 1.990, 45.59 deg, rel. 10
d 1.668, 55.05 deg, rel. 16
d 1.280, 74.09 deg, rel. 10

Crystal structure
Unit cell a=8.0932 b=8.0932 c=5.8944 alpha=90.00 beta=90.00 gamma=90.00
Element x y z (fractional)
Ca (0.0139, 0.2500, 0.0612)
Ca (0.2500, 0.0139, 0.5612)
Ca (0.2500, 0.4861, 0.5612)
Ca (0.4861, 0.2500, 0.0612)
Ca (0.5139, 0.7500, 0.9388)
Ca (0.7500, 0.5139, 0.4388)
Ca (0.7500, 0.9861, 0.4388)
Ca (0.9861, 0.7500, 0.9388)
B (0.2500, 0.7500, 0.2500)
B (0.7500, 0.2500, 0.7500)
P (0.0307, 0.7500, 0.4381)
P (0.2500, 0.5307, 0.0619)
P (0.2500, 0.9693, 0.0619)
P (0.4693, 0.7500, 0.4381)
P (0.5307, 0.2500, 0.5619)
P (0.7500, 0.0307, 0.9381)
P (0.7500, 0.4693, 0.9381)
P (0.9693, 0.2500, 0.5619)

5.
Structure and theoretical X-ray powder pattern of DyZn10Rh2 (a crystal structure in Alexandria, relaxed with GGA-PBE; Cu Ka).

Largest 10 diffraction maxima, by angle, 2θ = 15–90°:
d 2.573, 34.86 deg, rel. 50
d 2.559, 35.07 deg, rel. 49
d 2.322, 38.77 deg, rel. 100
d 2.308, 39.03 deg, rel. 98
d 2.219, 40.65 deg, rel. 53
d 2.211, 40.81 deg, rel. 89
d 2.203, 40.96 deg, rel. 52
d 2.183, 41.37 deg, rel. 67
d 2.177, 41.48 deg, rel. 66
d 2.045, 44.30 deg, rel. 60

Crystal structure
Unit cell a=5.4647 b=6.7192 c=6.7426 alpha=80.60 beta=66.11 gamma=66.57
Element x y z (fractional)
Dy (0.0000, 0.0000, 0.0000)
Zn (0.0000, 0.0000, 0.5000)
Zn (0.0095, 0.6431, 0.3388)
Zn (0.2807, 0.2181, 0.2169)
Zn (0.3481, 0.6436, 0.6611)
Zn (0.4979, 0.2186, 0.7831)
Zn (0.5000, 0.0000, 0.5000)
Zn (0.5021, 0.7814, 0.2169)
Zn (0.6519, 0.3564, 0.3389)
Zn (0.7193, 0.7819, 0.7831)
Zn (0.9905, 0.3569, 0.6612)
Rh (0.0000, 0.5000, 0.0000)
Rh (0.5000, 0.5000, 0.0000)

6.
Structure and theoretical X-ray powder pattern of MnBe5Ir6 (a crystal structure in Alexandria, relaxed with GGA-PBE; Cu Ka).

Largest 10 diffraction maxima, by angle, 2θ = 15–90°:
d 2.855, 31.33 deg, rel. 49
d 2.836, 31.55 deg, rel. 98
d 2.012, 45.06 deg, rel. 100
d 2.009, 45.14 deg, rel. 25
d 2.002, 45.29 deg, rel. 25
d 1.643, 55.97 deg, rel. 20
d 1.639, 56.11 deg, rel. 20
d 1.275, 74.40 deg, rel. 17
d 1.268, 74.85 deg, rel. 17
d 1.159, 83.38 deg, rel. 17

Crystal structure
Unit cell a=4.0173 b=5.7100 c=6.3284 alpha=90.00 beta=108.35 gamma=90.00
Element x y z (fractional)
Mn (0.0000, 0.0000, 0.0000)
Be (0.0000, 0.5000, 0.0000)
Be (0.3336, 0.0000, 0.6681)
Be (0.3360, 0.5000, 0.6731)
Be (0.6640, 0.5000, 0.3269)
Be (0.6664, 0.0000, 0.3319)
Ir (0.1697, 0.2544, 0.3384)
Ir (0.1697, 0.7456, 0.3384)
Ir (0.5000, 0.2580, 0.0000)
Ir (0.5000, 0.7420, 0.0000)
Ir (0.8303, 0.2544, 0.6616)
Ir (0.8303, 0.7456, 0.6616)